Nd2PuPt3: calculated powder X-ray diffraction pattern (Cu Kα (λ = 1.5418 Å)), based on a crystal structure in Alexandria, relaxed with PBE.
No peak broadening, texture or thermal motion is included.

Crystal structure
```
data_Nd2PuPt3
_chemical_formula_sum 'Nd8 Pu4 Pt12'
_cell_length_a 13.082
_cell_length_b 5.874
_cell_length_c 8.395
_cell_angle_alpha 90.00
_cell_angle_beta 108.68
_cell_angle_gamma 90.00
_space_group_name_H-M_alt 'C 1 2/c 1'
_space_group_IT_number 15
loop_
_space_group_symop_operation_xyz
'x,y,z'
'-x,-y,-z'
'-x,y,-z+1/2'
'x,-y,z+1/2'
'x+1/2,y+1/2,z'
'-x+1/2,-y+1/2,-z'
'-x+1/2,y+1/2,-z+1/2'
'x+1/2,-y+1/2,z+1/2'
loop_
_atom_site_label
_atom_site_type_symbol
_atom_site_fract_x
_atom_site_fract_y
_atom_site_fract_z
Nd1 Nd 0.168 0.000 0.084
Pu1 Pu 0.000 0.499 0.250
Pt1 Pt 0.000 0.001 0.750
Pt2 Pt 0.158 0.500 0.079
```

Main lines, in order of rising 2θ (10 to 90 degrees two-theta):
2θ (°)  I_rel
30.38  100
43.10  13
43.53  50
43.83  12
53.68  14
54.30  13

=====

Nd5PuPt4: calculated powder X-ray diffraction pattern (Cu Kα (λ = 1.5418 Å)), based on a crystal structure in Alexandria, relaxed with PBE.
No peak broadening, texture or thermal motion is included.

Crystal structure
```
data_Nd5PuPt4
_chemical_formula_sum 'Nd10 Pu2 Pt8'
_cell_length_a 18.071
_cell_length_b 4.255
_cell_length_c 8.034
_cell_angle_alpha 90.00
_cell_angle_beta 105.89
_cell_angle_gamma 90.00
_space_group_name_H-M_alt 'C 1 2/m 1'
_space_group_IT_number 12
loop_
_space_group_symop_operation_xyz
'x,y,z'
'-x,-y,-z'
'-x,y,-z'
'x,-y,z'
'x+1/2,y+1/2,z'
'-x+1/2,-y+1/2,-z'
'-x+1/2,y+1/2,-z'
'x+1/2,-y+1/2,z'
loop_
_atom_site_label
_atom_site_type_symbol
_atom_site_fract_x
_atom_site_fract_y
_atom_site_fract_z
Nd1 Nd 0.000 0.000 0.000
Nd2 Nd 0.166 0.500 0.367
Nd3 Nd 0.167 0.500 0.857
Pu1 Pu 0.000 0.000 0.500
Pt1 Pt 0.002 0.500 0.749
Pt2 Pt 0.171 0.000 0.619
```

Main lines, in order of rising 2θ (10 to 90 degrees two-theta):
2θ (°)  I_rel
11.45  26
30.63  100
30.87  53
42.49  24
43.13  42
44.94  34

=====

Nd2Pu2Pt15: calculated powder X-ray diffraction pattern (Cu Kα (λ = 1.5418 Å)), based on a crystal structure in Alexandria, relaxed with PBE.
No peak broadening, texture or thermal motion is included.

Crystal structure
```
data_Nd2Pu2Pt15
_chemical_formula_sum 'Nd6 Pu6 Pt45'
_cell_length_a 9.3863
_cell_length_b 9.3863
_cell_length_c 13.8339
_cell_angle_alpha 90.00
_cell_angle_beta 90.00
_cell_angle_gamma 120.00
_space_group_name_H-M_alt 'R -3 m'
_space_group_IT_number 166
_space_group_name_Hall '-R 3 2"'
loop_
_atom_site_label
_atom_site_type_symbol
_atom_site_fract_x
_atom_site_fract_y
_atom_site_fract_z
Nd1 Nd 0.0000 0.0000 0.1450
Pu1 Pu 0.0000 0.0000 0.4024
Pt1 Pt 0.0000 0.3160 0.5000
Pt2 Pt 0.0000 0.5000 0.0000
Pt3 Pt 0.0053 0.5027 0.6571
```

Main lines, in order of rising 2θ (10 to 90 degrees two-theta):
2θ (°)  I_rel
33.06  38
38.36  57
38.54  100
43.26  98
43.74  37
69.35  37

=====

Nd8Pt2Rh3: calculated powder X-ray diffraction pattern (Cu Kα (λ = 1.5418 Å)), based on a crystal structure in Alexandria, relaxed with PBE.
No peak broadening, texture or thermal motion is included.

Crystal structure
```
data_Nd8Pt2Rh3
_chemical_formula_sum 'Nd8 Pt2 Rh3'
_cell_length_a 8.650
_cell_length_b 5.016
_cell_length_c 8.682
_cell_angle_alpha 90.00
_cell_angle_beta 109.35
_cell_angle_gamma 90.00
_space_group_name_H-M_alt 'P 1 2/m 1'
_space_group_IT_number 10
loop_
_space_group_symop_operation_xyz
'x,y,z'
'-x,-y,-z'
'-x,y,-z'
'x,-y,z'
loop_
_atom_site_label
_atom_site_type_symbol
_atom_site_fract_x
_atom_site_fract_y
_atom_site_fract_z
Nd1 Nd 0.123 0.000 0.376
Nd2 Nd 0.125 0.500 0.871
Nd3 Nd 0.371 0.500 0.624
Nd4 Nd 0.377 0.000 0.124
Pt1 Pt 0.252 0.500 0.247
Rh1 Rh 0.000 0.500 0.500
Rh2 Rh 0.252 0.000 0.751
```

Main lines, in order of rising 2θ (10 to 90 degrees two-theta):
2θ (°)  I_rel
21.73  25
35.82  100
35.93  50
51.56  18
64.37  32
64.51  18

=====

Nd2Sn3PtRh4: calculated powder X-ray diffraction pattern (Cu Kα (λ = 1.5418 Å)), based on a crystal structure in Alexandria, relaxed with PBE.
No peak broadening, texture or thermal motion is included.

Crystal structure
```
data_Nd2Sn3PtRh4
_chemical_formula_sum 'Nd2 Sn3 Pt1 Rh4'
_cell_length_a 4.247
_cell_length_b 4.247
_cell_length_c 11.670
_cell_angle_alpha 90.00
_cell_angle_beta 90.00
_cell_angle_gamma 90.00
_space_group_name_H-M_alt 'P -4 m 2'
_space_group_IT_number 115
loop_
_space_group_symop_operation_xyz
'x,y,z'
'y,-x,-z'
'-x,-y,z'
'-y,x,-z'
'-x,y,z'
'-y,-x,-z'
'x,-y,z'
'y,x,-z'
loop_
_atom_site_label
_atom_site_type_symbol
_atom_site_fract_x
_atom_site_fract_y
_atom_site_fract_z
Nd1 Nd 0.000 0.500 0.229
Sn1 Sn 0.000 0.000 0.000
Sn2 Sn 0.000 0.500 0.630
Pt1 Pt 0.500 0.500 0.000
Rh1 Rh 0.000 0.000 0.500
Rh2 Rh 0.000 0.500 0.852
Rh3 Rh 0.500 0.500 0.500
```

Main lines, in order of rising 2θ (10 to 90 degrees two-theta):
2θ (°)  I_rel
31.18  39
33.56  100
42.57  54
43.23  32
44.28  24
72.17  22

=====

Nd4Ru2Pt: calculated powder X-ray diffraction pattern (Cu Kα (λ = 1.5418 Å)), based on a crystal structure in Alexandria, relaxed with PBE.
No peak broadening, texture or thermal motion is included.

Crystal structure
```
data_Nd4Ru2Pt
_chemical_formula_sum 'Nd16 Ru8 Pt4'
_cell_length_a 9.001
_cell_length_b 13.210
_cell_length_c 6.937
_cell_angle_alpha 90.00
_cell_angle_beta 122.72
_cell_angle_gamma 90.00
_space_group_name_H-M_alt 'C 1 c 1'
_space_group_IT_number 9
loop_
_space_group_symop_operation_xyz
'x,y,z'
'x,-y,z+1/2'
'x+1/2,y+1/2,z'
'x+1/2,-y+1/2,z+1/2'
loop_
_atom_site_label
_atom_site_type_symbol
_atom_site_fract_x
_atom_site_fract_y
_atom_site_fract_z
Nd1 Nd 0.000 0.032 0.000
Nd2 Nd 0.129 0.307 0.113
Nd3 Nd 0.301 0.307 0.738
Nd4 Nd 0.399 0.073 0.030
Ru1 Ru 0.007 0.179 0.708
Ru2 Ru 0.186 0.496 0.477
Pt1 Pt 0.225 0.126 0.465
```

Main lines, in order of rising 2θ (10 to 90 degrees two-theta):
2θ (°)  I_rel
30.80  100
33.22  74
33.57  64
36.01  70
37.17  67
38.09  52

=====

Nd7PtS5: calculated powder X-ray diffraction pattern (Cu Kα (λ = 1.5418 Å)), based on a crystal structure in Alexandria, relaxed with PBE.
No peak broadening, texture or thermal motion is included.

Crystal structure
```
data_Nd7PtS5
_chemical_formula_sum 'Nd14 Pt2 S10'
_cell_length_a 4.014
_cell_length_b 24.489
_cell_length_c 7.012
_cell_angle_alpha 90.00
_cell_angle_beta 106.55
_cell_angle_gamma 90.00
_space_group_name_H-M_alt 'P 1 21/m 1'
_space_group_IT_number 11
loop_
_space_group_symop_operation_xyz
'x,y,z'
'-x,-y,-z'
'-x,y+1/2,-z'
'x,-y+1/2,z'
loop_
_atom_site_label
_atom_site_type_symbol
_atom_site_fract_x
_atom_site_fract_y
_atom_site_fract_z
Nd1 Nd 0.039 0.250 0.077
Nd2 Nd 0.137 0.536 0.275
Nd3 Nd 0.307 0.177 0.615
Nd4 Nd 0.413 0.606 0.825
Pt1 Pt 0.301 0.750 0.603
S1 S 0.049 0.643 0.099
S2 S 0.225 0.071 0.451
S3 S 0.500 0.000 0.000
```

Main lines, in order of rising 2θ (10 to 90 degrees two-theta):
2θ (°)  I_rel
28.77  100
29.53  38
30.79  93
31.88  66
45.18  31
54.44  48

=====

Nd7Sb2Pt2: calculated powder X-ray diffraction pattern (Cu Kα (λ = 1.5418 Å)), based on a crystal structure in Alexandria, relaxed with PBE.
No peak broadening, texture or thermal motion is included.

Crystal structure
```
data_Nd7Sb2Pt2
_chemical_formula_sum 'Nd14 Sb4 Pt4'
_cell_length_a 8.782
_cell_length_b 11.360
_cell_length_c 7.071
_cell_angle_alpha 90.00
_cell_angle_beta 90.00
_cell_angle_gamma 90.00
_space_group_name_H-M_alt 'C m m m'
_space_group_IT_number 65
_space_group_name_Hall '-C 2 2'
loop_
_atom_site_label
_atom_site_type_symbol
_atom_site_fract_x
_atom_site_fract_y
_atom_site_fract_z
Nd1 Nd 0.000 0.000 0.000
Nd2 Nd 0.000 0.500 0.238
Nd3 Nd 0.250 0.250 0.258
Sb1 Sb 0.192 0.000 0.500
Pt1 Pt 0.000 0.275 0.000
```

Main lines, in order of rising 2θ (10 to 90 degrees two-theta):
2θ (°)  I_rel
23.85  41
28.32  19
31.51  49
36.25  100
52.69  18
59.25  20

=====

Nd2TiSb3Pt4: calculated powder X-ray diffraction pattern (Cu Kα (λ = 1.5418 Å)), based on a crystal structure in Alexandria, relaxed with PBE.
No peak broadening, texture or thermal motion is included.

Crystal structure
```
data_Nd2TiSb3Pt4
_chemical_formula_sum 'Nd2 Ti1 Sb3 Pt4'
_cell_length_a 4.452
_cell_length_b 4.452
_cell_length_c 11.079
_cell_angle_alpha 90.00
_cell_angle_beta 90.00
_cell_angle_gamma 90.00
_space_group_name_H-M_alt 'P -4 m 2'
_space_group_IT_number 115
loop_
_space_group_symop_operation_xyz
'x,y,z'
'y,-x,-z'
'-x,-y,z'
'-y,x,-z'
'-x,y,z'
'-y,-x,-z'
'x,-y,z'
'y,x,-z'
loop_
_atom_site_label
_atom_site_type_symbol
_atom_site_fract_x
_atom_site_fract_y
_atom_site_fract_z
Nd1 Nd 0.000 0.500 0.235
Ti1 Ti 0.000 0.000 0.500
Sb1 Sb 0.000 0.500 0.863
Sb2 Sb 0.500 0.500 0.500
Pt1 Pt 0.000 0.000 0.000
Pt2 Pt 0.000 0.500 0.628
Pt3 Pt 0.500 0.500 0.000
```

Main lines, in order of rising 2θ (10 to 90 degrees two-theta):
2θ (°)  I_rel
31.47  62
32.72  100
40.53  76
43.52  47
45.74  31
52.19  30

=====

NdScPt: calculated powder X-ray diffraction pattern (Cu Kα (λ = 1.5418 Å)), based on a crystal structure in Alexandria, relaxed with PBE.
No peak broadening, texture or thermal motion is included.

Crystal structure
```
data_NdScPt
_chemical_formula_sum 'Nd6 Sc6 Pt6'
_cell_length_a 4.734
_cell_length_b 12.547
_cell_length_c 7.261
_cell_angle_alpha 90.00
_cell_angle_beta 90.00
_cell_angle_gamma 90.00
_space_group_name_H-M_alt 'A m m 2'
_space_group_IT_number 38
loop_
_space_group_symop_operation_xyz
'x,y,z'
'-x,-y,z'
'-x,y,z'
'x,-y,z'
'x,y+1/2,z+1/2'
'-x,-y+1/2,z+1/2'
'-x,y+1/2,z+1/2'
'x,-y+1/2,z+1/2'
loop_
_atom_site_label
_atom_site_type_symbol
_atom_site_fract_x
_atom_site_fract_y
_atom_site_fract_z
Nd1 Nd 0.000 0.000 0.000
Nd2 Nd 0.000 0.205 0.387
Sc1 Sc 0.500 0.000 0.335
Sc2 Sc 0.500 0.128 0.719
Pt1 Pt 0.000 0.000 0.591
Pt2 Pt 0.500 0.166 0.091
```

Main lines, in order of rising 2θ (10 to 90 degrees two-theta):
2θ (°)  I_rel
24.55  37
31.07  68
34.27  100
38.01  34
42.60  37
43.21  37

=====

NdSc3Pt2: calculated powder X-ray diffraction pattern (Cu Kα (λ = 1.5418 Å)), based on a crystal structure in Alexandria, relaxed with PBE.
No peak broadening, texture or thermal motion is included.

Crystal structure
```
data_NdSc3Pt2
_chemical_formula_sum 'Nd2 Sc6 Pt4'
_cell_length_a 4.551
_cell_length_b 8.536
_cell_length_c 6.851
_cell_angle_alpha 90.00
_cell_angle_beta 90.00
_cell_angle_gamma 90.00
_space_group_name_H-M_alt 'P m c 21'
_space_group_IT_number 26
loop_
_space_group_symop_operation_xyz
'x,y,z'
'-x,-y,z+1/2'
'-x,y,z'
'x,-y,z+1/2'
loop_
_atom_site_label
_atom_site_type_symbol
_atom_site_fract_x
_atom_site_fract_y
_atom_site_fract_z
Nd1 Nd 0.000 0.072 0.000
Sc1 Sc 0.000 0.338 0.633
Sc2 Sc 0.500 0.193 0.346
Sc3 Sc 0.500 0.428 0.972
Pt1 Pt 0.000 0.355 0.240
Pt2 Pt 0.500 0.165 0.733
```

Main lines, in order of rising 2θ (10 to 90 degrees two-theta):
2θ (°)  I_rel
24.57  67
25.71  95
34.41  100
37.27  63
39.61  57
46.01  35

=====

Nd4SiPt3: calculated powder X-ray diffraction pattern (Cu Kα (λ = 1.5418 Å)), based on a crystal structure in Alexandria, relaxed with PBE.
No peak broadening, texture or thermal motion is included.

Crystal structure
```
data_Nd4SiPt3
_chemical_formula_sum 'Nd4 Si1 Pt3'
_cell_length_a 4.089
_cell_length_b 4.356
_cell_length_c 11.021
_cell_angle_alpha 90.00
_cell_angle_beta 90.00
_cell_angle_gamma 90.00
_space_group_name_H-M_alt 'P m m 2'
_space_group_IT_number 25
loop_
_space_group_symop_operation_xyz
'x,y,z'
'-x,-y,z'
'-x,y,z'
'x,-y,z'
loop_
_atom_site_label
_atom_site_type_symbol
_atom_site_fract_x
_atom_site_fract_y
_atom_site_fract_z
Nd1 Nd 0.000 0.000 0.000
Nd2 Nd 0.000 0.500 0.277
Nd3 Nd 0.500 0.000 0.497
Nd4 Nd 0.500 0.500 0.777
Si1 Si 0.000 0.000 0.710
Pt1 Pt 0.000 0.500 0.562
Pt2 Pt 0.500 0.000 0.224
Pt3 Pt 0.500 0.500 0.049
```

Main lines, in order of rising 2θ (10 to 90 degrees two-theta):
2θ (°)  I_rel
31.08  100
32.50  28
38.67  25
38.91  74
41.46  28
44.31  23